No. 1
For Dy4YTmSc2, DFT lattice parameters and positions (GGA-PBE) gives the theoretical powder XRD pattern in this record (Cu Ka).

Main lines, by intensity (10° ≤ 2θ ≤ 80°):
index, d [Å], I_rel
4 0 -2, 2.874, 100
4 4 -2, 2.149, 84
0 4 0, 3.236, 45
4 8 -2, 1.410, 19
8 4 -2, 1.476, 16
2 2 0, 4.294, 15
8 0 -2, 1.658, 12
8 4 -4, 1.314, 11
4 4 -4, 1.478, 8
4 0 -4, 1.662, 6

Crystal structure
```
data_Dy4YTmSc2
_chemical_formula_sum 'Dy16 Y4 Tm4 Sc8'
_cell_length_a 13.262
_cell_length_b 12.945
_cell_length_c 6.647
_cell_angle_alpha 90.00
_cell_angle_beta 120.07
_cell_angle_gamma 90.00
_space_group_name_H-M_alt 'C 1 2/c 1'
_space_group_IT_number 15
loop_
_space_group_symop_operation_xyz
'x,y,z'
'-x,-y,-z'
'-x,y,-z+1/2'
'x,-y,z+1/2'
'x+1/2,y+1/2,z'
'-x+1/2,-y+1/2,-z'
'-x+1/2,y+1/2,-z+1/2'
'x+1/2,-y+1/2,z+1/2'
loop_
_atom_site_label
_atom_site_type_symbol
_atom_site_fract_x
_atom_site_fract_y
_atom_site_fract_z
_atom_site_occupancy
Dy1 Dy 0.000 0.242 0.008 1
Dy2 Dy 0.240 0.011 0.489 1
Y1 Y 0.250 0.250 0.000 1
Tm1 Tm 0.000 0.500 0.000 1
Sc1 Sc 0.000 0.000 0.000 1
Sc2 Sc 0.250 0.250 0.500 1
```

---

No. 2
For Dy2Y4TmSc, DFT lattice parameters and positions (GGA-PBE) gives the theoretical powder XRD pattern in this record (Cu Ka).

Main lines, by intensity (10° ≤ 2θ ≤ 80°):
index, d [Å], I_rel
1 1 2, 2.871, 100
2 2 0, 1.758, 35
2 0 0, 2.489, 34
3 1 2, 1.500, 27
0 0 4, 2.481, 17
1 1 6, 1.497, 13
2 2 4, 1.435, 12
0 0 2, 4.970, 7
1 1 0, 3.517, 6
1 0 1, 4.449, 4

Crystal structure
```
data_Dy2Y4TmSc
_chemical_formula_sum 'Dy2 Y4 Tm1 Sc1'
_cell_length_a 4.978
_cell_length_b 4.978
_cell_length_c 9.925
_cell_angle_alpha 90.00
_cell_angle_beta 90.00
_cell_angle_gamma 90.00
_space_group_name_H-M_alt 'P 4/m m m'
_space_group_IT_number 123
_space_group_name_Hall '-P 4 2'
loop_
_atom_site_label
_atom_site_type_symbol
_atom_site_fract_x
_atom_site_fract_y
_atom_site_fract_z
_atom_site_occupancy
Dy1 Dy 0.000 0.000 0.000 1
Dy2 Dy 0.500 0.500 0.500 1
Y1 Y 0.000 0.500 0.246 1
Tm1 Tm 0.000 0.000 0.500 1
Sc1 Sc 0.500 0.500 0.000 1
```

---

No. 3
For Dy2Y6Sc, DFT lattice parameters and positions (GGA-PBE) gives the theoretical powder XRD pattern in this record (Cu Ka).

Main lines, by intensity (10° ≤ 2θ ≤ 80°):
index, d [Å], I_rel
1 0 5, 2.657, 100
1 0 0, 3.099, 44
1 0 4, 2.794, 39
1 0 3, 2.916, 39
0 0 9, 2.868, 37
1 1 0, 1.789, 34
1 1 9, 1.518, 33
1 0 14, 1.584, 30
1 0 9, 2.105, 24
1 0 6, 2.514, 17

Crystal structure
```
data_Dy2Y6Sc
_chemical_formula_sum 'Dy2 Y6 Sc1'
_cell_length_a 3.5785
_cell_length_b 3.5785
_cell_length_c 25.8099
_cell_angle_alpha 90.00
_cell_angle_beta 90.00
_cell_angle_gamma 120.00
_space_group_name_H-M_alt 'P -6 m 2'
_space_group_IT_number 187
_space_group_name_Hall 'P -6 2'
loop_
_atom_site_label
_atom_site_type_symbol
_atom_site_fract_x
_atom_site_fract_y
_atom_site_fract_z
_atom_site_occupancy
Dy1 Dy 0.0000 0.0000 0.1745 1
Y1 Y 0.0000 0.0000 0.3970 1
Y2 Y 0.6667 0.3333 0.0658 1
Y3 Y 0.6667 0.3333 0.2854 1
Sc1 Sc 0.6667 0.3333 0.5000 1
```

---

No. 4
For DyY8Sc3, DFT lattice parameters and positions (GGA-PBE) gives the theoretical powder XRD pattern in this record (Cu Ka).

Main lines, by intensity (10° ≤ 2θ ≤ 80°):
index, d [Å], I_rel
3 2 1, 2.698, 100
0 4 0, 2.766, 24
3 6 1, 1.583, 19
3 0 1, 3.094, 16
0 4 2, 2.061, 15
3 4 3, 1.498, 14
3 0 3, 1.782, 12
6 2 2, 1.490, 10
0 0 2, 3.083, 9
6 4 0, 1.502, 7

Crystal structure
```
data_DyY8Sc3
_chemical_formula_sum 'Dy2 Y16 Sc6'
_cell_length_a 10.729
_cell_length_b 11.064
_cell_length_c 6.166
_cell_angle_alpha 90.00
_cell_angle_beta 90.00
_cell_angle_gamma 90.00
_space_group_name_H-M_alt 'I m m 2'
_space_group_IT_number 44
loop_
_space_group_symop_operation_xyz
'x,y,z'
'-x,-y,z'
'-x,y,z'
'x,-y,z'
'x+1/2,y+1/2,z+1/2'
'-x+1/2,-y+1/2,z+1/2'
'-x+1/2,y+1/2,z+1/2'
'x+1/2,-y+1/2,z+1/2'
loop_
_atom_site_label
_atom_site_type_symbol
_atom_site_fract_x
_atom_site_fract_y
_atom_site_fract_z
_atom_site_occupancy
Dy1 Dy 0.000 0.000 0.000 1
Y1 Y 0.161 0.500 0.513 1
Y2 Y 0.164 0.000 0.509 1
Y3 Y 0.164 0.253 0.169 1
Sc1 Sc 0.000 0.252 0.676 1
Sc2 Sc 0.000 0.500 0.001 1
```

---

No. 5
For Dy2Y4Sc, DFT lattice parameters and positions (GGA-PBE) gives the theoretical powder XRD pattern in this record (Cu Ka).

Main lines, by intensity (10° ≤ 2θ ≤ 80°):
index, d [Å], I_rel
1 0 3, 2.871, 100
2 0 0, 2.883, 53
0 2 2, 2.851, 50
2 3 1, 2.575, 47
2 5 -1, 1.595, 28
0 0 1, 8.094, 22
1 2 -1, 3.322, 17
-1 1 4, 1.651, 14
0 5 -1, 1.588, 13
0 0 4, 2.023, 12

Crystal structure
```
data_Dy2Y4Sc
_chemical_formula_sum 'Dy4 Y8 Sc2'
_cell_length_a 6.678
_cell_length_b 8.748
_cell_length_c 8.762
_cell_angle_alpha 82.00
_cell_angle_beta 67.62
_cell_angle_gamma 67.57
_space_group_name_H-M_alt 'P 1'
_space_group_IT_number 1
loop_
_space_group_symop_operation_xyz
'x,y,z'
loop_
_atom_site_label
_atom_site_type_symbol
_atom_site_fract_x
_atom_site_fract_y
_atom_site_fract_z
_atom_site_occupancy
Dy1 Dy 0.000 0.000 0.000 1
Dy2 Dy 0.118 0.971 0.530 1
Dy3 Dy 0.427 0.500 0.500 1
Dy4 Dy 0.619 0.029 0.470 1
Y1 Y 0.421 0.239 0.227 1
Y2 Y 0.471 0.732 0.742 1
Y3 Y 0.492 0.175 0.828 1
Y4 Y 0.495 0.826 0.172 1
Y5 Y 0.886 0.762 0.773 1
Y6 Y 0.945 0.268 0.257 1
Y7 Y 0.989 0.340 0.671 1
Y8 Y 0.999 0.661 0.329 1
Sc1 Sc 0.128 0.524 0.971 1
Sc2 Sc 0.622 0.477 0.030 1
```

---

No. 6
For DyY6Sc2, DFT lattice parameters and positions (GGA-PBE) gives the theoretical powder XRD pattern in this record (Cu Ka).

Main lines, by intensity (10° ≤ 2θ ≤ 80°):
index, d [Å], I_rel
1 3 -1, 2.780, 100
2 0 -2, 2.960, 43
1 1 -4, 2.693, 29
0 2 3, 2.711, 26
1 0 2, 2.976, 24
0 1 3, 3.123, 23
1 1 2, 2.838, 23
2 1 -3, 2.672, 20
0 3 3, 2.281, 19
1 2 -2, 3.414, 18

Crystal structure
```
data_DyY6Sc2
_chemical_formula_sum 'Dy2 Y12 Sc4'
_cell_length_a 5.933
_cell_length_b 9.448
_cell_length_c 11.236
_cell_angle_alpha 90.00
_cell_angle_beta 117.91
_cell_angle_gamma 90.00
_space_group_name_H-M_alt 'P 1 21/c 1'
_space_group_IT_number 14
loop_
_space_group_symop_operation_xyz
'x,y,z'
'-x,-y,-z'
'-x,y+1/2,-z+1/2'
'x,-y+1/2,z+1/2'
loop_
_atom_site_label
_atom_site_type_symbol
_atom_site_fract_x
_atom_site_fract_y
_atom_site_fract_z
_atom_site_occupancy
Dy1 Dy 0.000 0.000 0.000 1
Y1 Y 0.002 0.156 0.434 1
Y2 Y 0.400 0.681 0.412 1
Y3 Y 0.415 0.024 0.330 1
Sc1 Sc 0.192 0.144 0.759 1
```

---

No. 7
For Dy2Y6Sc, DFT lattice parameters and positions (GGA-PBE) gives the theoretical powder XRD pattern in this record (Cu Ka).

Main lines, by intensity (10° ≤ 2θ ≤ 80°):
index, d [Å], I_rel
2 4 -1, 2.769, 100
2 0 2, 2.786, 75
2 4 1, 2.705, 69
0 4 1, 3.013, 46
3 3 -1, 2.877, 45
5 1 0, 2.567, 42
3 1 -2, 2.599, 37
0 4 3, 1.800, 28
0 0 2, 3.175, 27
4 2 0, 2.948, 24

Crystal structure
```
data_Dy2Y6Sc
_chemical_formula_sum 'Dy8 Y24 Sc4'
_cell_length_a 13.094
_cell_length_b 13.693
_cell_length_c 6.362
_cell_angle_alpha 90.00
_cell_angle_beta 93.67
_cell_angle_gamma 90.00
_space_group_name_H-M_alt 'C 1 2/c 1'
_space_group_IT_number 15
loop_
_space_group_symop_operation_xyz
'x,y,z'
'-x,-y,-z'
'-x,y,-z+1/2'
'x,-y,z+1/2'
'x+1/2,y+1/2,z'
'-x+1/2,-y+1/2,-z'
'-x+1/2,y+1/2,-z+1/2'
'x+1/2,-y+1/2,z+1/2'
loop_
_atom_site_label
_atom_site_type_symbol
_atom_site_fract_x
_atom_site_fract_y
_atom_site_fract_z
_atom_site_occupancy
Dy1 Dy 0.204 0.059 0.043 1
Y1 Y 0.099 0.427 0.584 1
Y2 Y 0.111 0.292 0.107 1
Y3 Y 0.125 0.178 0.599 1
Sc1 Sc 0.000 0.033 0.250 1
```

---

No. 8
For DyY2Sc5, DFT lattice parameters and positions (GGA-PBE) gives the theoretical powder XRD pattern in this record (Cu Ka).

Main lines, by intensity (10° ≤ 2θ ≤ 80°):
index, d [Å], I_rel
2 2 2, 2.601, 100
0 0 4, 2.976, 25
0 4 0, 2.674, 24
4 4 0, 1.446, 20
1 1 1, 5.201, 19
4 0 0, 1.718, 18
2 6 2, 1.529, 18
0 4 4, 1.989, 15
0 2 2, 3.978, 14
0 2 8, 1.434, 14

Crystal structure
```
data_DyY2Sc5
_chemical_formula_sum 'Dy4 Y8 Sc20'
_cell_length_a 6.873
_cell_length_b 10.696
_cell_length_c 11.904
_cell_angle_alpha 90.00
_cell_angle_beta 90.00
_cell_angle_gamma 90.00
_space_group_name_H-M_alt 'F m m 2'
_space_group_IT_number 42
_space_group_name_Hall 'F 2 -2'
loop_
_atom_site_label
_atom_site_type_symbol
_atom_site_fract_x
_atom_site_fract_y
_atom_site_fract_z
_atom_site_occupancy
Dy1 Dy 0.000 0.000 0.000 1
Y1 Y 0.000 0.245 0.329 1
Sc1 Sc 0.000 0.000 0.502 1
Sc2 Sc 0.247 0.000 0.745 1
Sc3 Sc 0.250 0.250 0.083 1
```

---

No. 9
For Dy4Y15Sc, DFT lattice parameters and positions (GGA-PBE) gives the theoretical powder XRD pattern in this record (Cu Ka).

Main lines, by intensity (10° ≤ 2θ ≤ 80°):
index, d [Å], I_rel
1 1 5, 2.899, 100
2 0 0, 2.511, 50
3 1 5, 1.514, 40
2 2 0, 1.776, 35
2 2 10, 1.450, 12
4 0 0, 1.256, 4
0 0 5, 5.022, 3
1 1 0, 3.551, 3
2 0 5, 2.246, 2
0 0 20, 1.254, 2

Crystal structure
```
data_Dy4Y15Sc
_chemical_formula_sum 'Dy4 Y15 Sc1'
_cell_length_a 5.024
_cell_length_b 5.024
_cell_length_c 25.090
_cell_angle_alpha 90.00
_cell_angle_beta 90.00
_cell_angle_gamma 90.00
_space_group_name_H-M_alt 'P 4/m m m'
_space_group_IT_number 123
_space_group_name_Hall '-P 4 2'
loop_
_atom_site_label
_atom_site_type_symbol
_atom_site_fract_x
_atom_site_fract_y
_atom_site_fract_z
_atom_site_occupancy
Dy1 Dy 0.000 0.000 0.101 1
Dy2 Dy 0.000 0.000 0.302 1
Y1 Y 0.000 0.500 0.000 1
Y2 Y 0.000 0.500 0.202 1
Y3 Y 0.000 0.500 0.403 1
Y4 Y 0.500 0.500 0.101 1
Y5 Y 0.500 0.500 0.302 1
Y6 Y 0.500 0.500 0.500 1
Sc1 Sc 0.000 0.000 0.500 1
```

---

No. 10
For DyY2Sc, DFT lattice parameters and positions (GGA-PBE) gives the theoretical powder XRD pattern in this record (Cu Ka).

Main lines, by intensity (10° ≤ 2θ ≤ 80°):
index, d [Å], I_rel
1 1 1, 2.848, 100
2 0 0, 2.467, 50
3 1 1, 1.488, 40
2 2 0, 1.744, 34
1 0 0, 4.931, 17
1 0 1, 3.489, 15
2 2 2, 1.424, 11
2 1 0, 2.207, 9
2 1 1, 2.014, 7
3 0 0, 1.645, 5

Crystal structure
```
data_DyY2Sc
_chemical_formula_sum 'Dy1 Y2 Sc1'
_cell_length_a 4.931
_cell_length_b 4.931
_cell_length_c 4.939
_cell_angle_alpha 90.00
_cell_angle_beta 90.00
_cell_angle_gamma 90.00
_space_group_name_H-M_alt 'P 4/m m m'
_space_group_IT_number 123
_space_group_name_Hall '-P 4 2'
loop_
_atom_site_label
_atom_site_type_symbol
_atom_site_fract_x
_atom_site_fract_y
_atom_site_fract_z
_atom_site_occupancy
Dy1 Dy 0.000 0.000 0.000 1
Y1 Y 0.000 0.500 0.500 1
Sc1 Sc 0.500 0.500 0.000 1
```

---

No. 11
For Dy3YSc3, DFT lattice parameters and positions (GGA-PBE) gives the theoretical powder XRD pattern in this record (Cu Ka).

Main lines, by intensity (10° ≤ 2θ ≤ 80°):
index, d [Å], I_rel
2 1 1, 2.694, 100
2 -1 6, 2.668, 77
1 1 3, 3.565, 70
0 2 4, 2.961, 61
3 -2 2, 2.629, 47
1 3 7, 1.657, 39
1 0 7, 2.757, 28
2 0 5, 2.725, 26
4 -1 2, 1.958, 22
0 0 3, 6.965, 22

Crystal structure
```
data_Dy3YSc3
_chemical_formula_sum 'Dy18 Y6 Sc18'
_cell_length_a 8.2996
_cell_length_b 8.2996
_cell_length_c 20.8964
_cell_angle_alpha 90.00
_cell_angle_beta 90.00
_cell_angle_gamma 120.00
_space_group_name_H-M_alt 'R -3'
_space_group_IT_number 148
_space_group_name_Hall '-R 3'
loop_
_atom_site_label
_atom_site_type_symbol
_atom_site_fract_x
_atom_site_fract_y
_atom_site_fract_z
_atom_site_occupancy
Dy1 Dy 0.0520 0.4493 0.3809 1
Y1 Y 0.0000 0.0000 0.1521 1
Sc1 Sc 0.0048 0.2258 0.5569 1
```

---

Copy entry 6 word for word.
For DyY6Sc2, DFT lattice parameters and positions (GGA-PBE) gives the theoretical powder XRD pattern in this record (Cu Ka).

Main lines, by intensity (10° ≤ 2θ ≤ 80°):
index, d [Å], I_rel
1 3 -1, 2.780, 100
2 0 -2, 2.960, 43
1 1 -4, 2.693, 29
0 2 3, 2.711, 26
1 0 2, 2.976, 24
0 1 3, 3.123, 23
1 1 2, 2.838, 23
2 1 -3, 2.672, 20
0 3 3, 2.281, 19
1 2 -2, 3.414, 18

Crystal structure
```
data_DyY6Sc2
_chemical_formula_sum 'Dy2 Y12 Sc4'
_cell_length_a 5.933
_cell_length_b 9.448
_cell_length_c 11.236
_cell_angle_alpha 90.00
_cell_angle_beta 117.91
_cell_angle_gamma 90.00
_space_group_name_H-M_alt 'P 1 21/c 1'
_space_group_IT_number 14
loop_
_space_group_symop_operation_xyz
'x,y,z'
'-x,-y,-z'
'-x,y+1/2,-z+1/2'
'x,-y+1/2,z+1/2'
loop_
_atom_site_label
_atom_site_type_symbol
_atom_site_fract_x
_atom_site_fract_y
_atom_site_fract_z
_atom_site_occupancy
Dy1 Dy 0.000 0.000 0.000 1
Y1 Y 0.002 0.156 0.434 1
Y2 Y 0.400 0.681 0.412 1
Y3 Y 0.415 0.024 0.330 1
Sc1 Sc 0.192 0.144 0.759 1
```

---

Question: What is the formula in the seventh record?
Answer: Dy2Y6Sc